# Na2FePCO7
Simulated X-ray diffraction stick pattern, a wavelength of 1.5418 Å. Input: a structure optimized by DFT (GGA+U).

Main lines, in order of rising 2θ (2θ from 10° to 90°):
2θ/deg	I/Imax
16.8	32
19.6	53
19.7	49
26.0	26
27.4	100
29.7	23
33.9	23
34.0	47
34.3	60
42.2	22

Cell lengths 8.3428, 8.3563, 10.3527 Å; angles 108.05, 108.08, 102.51 degrees
Atoms (fractional coordinates):
Na1 0.0005 0.0182 0.2672
Na2 0.9995 0.9818 0.7328
Na3 0.0542 0.3002 0.0868
Na4 0.2724 0.7524 0.2681
Na5 0.4607 0.2059 0.9276
Na6 0.5393 0.7941 0.0724
Na7 0.7276 0.2476 0.7319
Na8 0.9458 0.6998 0.9132
Fe1 0.0711 0.3216 0.6538
Fe2 0.4506 0.2005 0.3431
Fe3 0.5494 0.7995 0.6569
Fe4 0.9289 0.6784 0.3462
P1 0.1909 0.4393 0.4220
P2 0.3083 0.0570 0.5737
P3 0.6917 0.9430 0.4263
P4 0.8091 0.5607 0.5780
C1 0.2210 0.4753 0.9346
C2 0.2638 0.0182 0.0640
C3 0.7362 0.9818 0.9360
C4 0.7790 0.5247 0.0654
O1 0.0637 0.3164 0.4631
O2 0.0781 0.3275 0.8703
O3 0.0847 0.5217 0.3243
O4 0.1568 0.9017 0.4297
O5 0.1761 0.9412 0.9235
O6 0.2144 0.9626 0.1558
O7 0.2257 0.1635 0.6713
O8 0.2576 0.3166 0.3205
O9 0.2765 0.5245 0.8432
O10 0.2977 0.5626 0.0744
O11 0.3424 0.5861 0.5663
O12 0.4103 0.1596 0.1264
O13 0.4268 0.1780 0.5262
O14 0.4307 0.9907 0.6761
O15 0.5693 0.0093 0.3239
O16 0.5732 0.8220 0.4738
O17 0.5897 0.8404 0.8736
O18 0.6576 0.4139 0.4337
O19 0.7023 0.4374 0.9256
O20 0.7235 0.4755 0.1568
O21 0.7424 0.6834 0.6795
O22 0.7743 0.8365 0.3287
O23 0.7856 0.0374 0.8442
O24 0.8239 0.0588 0.0765
O25 0.8432 0.0983 0.5703
O26 0.9153 0.4783 0.6757
O27 0.9219 0.6725 0.1297
O28 0.9363 0.6836 0.5369


# Na2FePCO7
Simulated X-ray diffraction stick pattern, a wavelength of 1.5418 Å. Input: a structure optimized by DFT (GGA+U).

Main lines, in order of rising 2θ (2θ from 10° to 90°):
2θ/deg	I/Imax
16.7	19
16.9	17
19.6	100
26.1	26
27.2	94
33.7	33
34.1	52
34.5	17
46.0	16
56.1	21

Cell lengths 8.3865, 8.4135, 10.3418 Å; angles 108.99, 107.74, 102.56 degrees
Atoms (fractional coordinates):
Na1 0.0000 0.0000 0.0000
Na2 0.0098 0.0161 0.5206
Na3 0.0693 0.3379 0.3531
Na4 0.4575 0.2109 0.1804
Na5 0.5014 0.5004 0.0003
Na6 0.5306 0.8014 0.3445
Na7 0.7586 0.2685 0.5202
Na8 0.9731 0.6995 0.1831
Fe1 0.0572 0.3309 0.9209
Fe2 0.4415 0.2008 0.6091
Fe3 0.5559 0.8272 0.9149
Fe4 0.9427 0.7006 0.6090
P1 0.1919 0.4501 0.6870
P2 0.3091 0.0701 0.8394
P3 0.6985 0.9568 0.6885
P4 0.8070 0.5721 0.8391
C1 0.2334 0.4849 0.1986
C2 0.2752 0.0344 0.3269
C3 0.7342 0.9862 0.1997
C4 0.7717 0.5371 0.3267
O1 0.0677 0.3259 0.7294
O2 0.0725 0.5217 0.5905
O3 0.0869 0.3398 0.1316
O4 0.1558 0.9182 0.6948
O5 0.1832 0.9596 0.1872
O6 0.2238 0.9861 0.4207
O7 0.2362 0.1842 0.9423
O8 0.2579 0.3274 0.5831
O9 0.2835 0.5366 0.1051
O10 0.3129 0.5677 0.3389
O11 0.3474 0.5994 0.8299
O12 0.4245 0.1961 0.7938
O13 0.4250 0.9969 0.9362
O14 0.4304 0.1666 0.3904
O15 0.5814 0.8393 0.7367
O16 0.5903 0.0374 0.5923
O17 0.5900 0.8433 0.1386
O18 0.6593 0.4145 0.6949
O19 0.6817 0.4579 0.1868
O20 0.7292 0.6820 0.9395
O21 0.7328 0.4777 0.4201
O22 0.7739 0.8451 0.5854
O23 0.7835 0.0363 0.1069
O24 0.8196 0.0739 0.3423
O25 0.8550 0.1066 0.8327
O26 0.9129 0.6853 0.3908
O27 0.9224 0.6981 0.7938
O28 0.9269 0.5035 0.9383


# Na5Fe2P2C2O14
Simulated X-ray diffraction stick pattern, a wavelength of 1.5418 Å. Input: a structure optimized by DFT (GGA+U).

Main lines, in order of rising 2θ (2θ from 10° to 90°):
2θ/deg	I/Imax
16.7	31
19.5	43
19.6	40
25.9	32
27.0	100
33.6	66
33.7	46
34.1	62
41.9	28
55.7	28

Cell lengths 5.2590, 6.5954, 18.0259 Å; angles 90.00, 90.51, 90.00 degrees
Atoms (fractional coordinates):
Na1 0.0000 0.0123 0.0000
Na2 0.0000 0.9877 0.5000
Na3 0.4745 0.4830 0.0809
Na4 0.4745 0.5170 0.5809
Na5 0.4940 0.2559 0.4077
Na6 0.4940 0.7441 0.9077
Na7 0.4950 0.2518 0.9066
Na8 0.4950 0.7482 0.4066
Na9 0.9973 0.2679 0.6705
Na10 0.9973 0.7321 0.1705
Fe1 0.0203 0.4976 0.8606
Fe2 0.0203 0.5024 0.3606
Fe3 0.4571 0.0133 0.2100
Fe4 0.4571 0.9867 0.7100
P1 0.5422 0.4957 0.7458
P2 0.5422 0.5043 0.2458
P3 0.9554 0.0016 0.3263
P4 0.9554 0.9984 0.8263
C1 0.5104 0.0072 0.5695
C2 0.5104 0.9928 0.0695
C3 0.9687 0.4959 0.5065
C4 0.9687 0.5041 0.0065
O1 0.0102 0.1826 0.8776
O2 0.0102 0.8174 0.3776
O3 0.0147 0.1889 0.3751
O4 0.0147 0.8111 0.8751
O5 0.1147 0.0064 0.7547
O6 0.1147 0.9936 0.2547
O7 0.1929 0.4974 0.9748
O8 0.1929 0.5026 0.4748
O9 0.2875 0.0052 0.6010
O10 0.2875 0.9948 0.1010
O11 0.4001 0.4991 0.8204
O12 0.4001 0.5009 0.3204
O13 0.4582 0.3089 0.6971
O14 0.4582 0.6911 0.1971
O15 0.4732 0.3117 0.1986
O16 0.4732 0.6883 0.6986
O17 0.5327 0.0034 0.4983
O18 0.5327 0.9966 0.9983
O19 0.6645 0.0011 0.3046
O20 0.6645 0.9989 0.8046
O21 0.7061 0.0084 0.6140
O22 0.7061 0.9916 0.1140
O23 0.7662 0.4967 0.9634
O24 0.7662 0.5033 0.4634
O25 0.8306 0.4839 0.7595
O26 0.8306 0.5161 0.2595
O27 0.9481 0.4841 0.5767
O28 0.9481 0.5159 0.0767


# Na2FePCO7
Simulated X-ray diffraction stick pattern, a wavelength of 1.5418 Å. Input: a structure optimized by DFT (GGA+U).

Main lines, in order of rising 2θ (2θ from 10° to 90°):
2θ/deg	I/Imax
16.8	49
19.6	100
26.1	25
27.3	95
29.6	23
33.8	42
34.0	27
34.1	43
37.4	20
42.1	21

Cell lengths 10.3560, 6.5265, 10.5072 Å; angles 90.00, 120.17, 90.00 degrees
Atoms (fractional coordinates):
Na1 0.0802 0.2420 0.1717
Na2 0.0802 0.2580 0.6717
Na3 0.2635 0.0128 0.5085
Na4 0.2635 0.4872 0.0085
Na5 0.7365 0.5128 0.9915
Na6 0.7365 0.9872 0.4915
Na7 0.9198 0.7420 0.3283
Na8 0.9198 0.7580 0.8283
Fe1 0.3461 0.7466 0.3148
Fe2 0.3461 0.7534 0.8148
Fe3 0.6539 0.2466 0.1852
Fe4 0.6539 0.2534 0.6852
P1 0.4243 0.2497 0.3169
P2 0.4243 0.2503 0.8169
P3 0.5757 0.7497 0.1831
P4 0.5757 0.7503 0.6831
C1 0.0652 0.7484 0.1479
C2 0.0652 0.7516 0.6479
C3 0.9348 0.2484 0.3521
C4 0.9348 0.2516 0.8521
O1 0.0751 0.2384 0.4351
O2 0.0751 0.2616 0.9351
O3 0.1291 0.7324 0.7917
O4 0.1291 0.7676 0.2917
O5 0.1580 0.7402 0.0974
O6 0.1580 0.7598 0.5974
O7 0.3234 0.0611 0.7903
O8 0.3234 0.4389 0.2903
O9 0.3253 0.0618 0.3021
O10 0.3253 0.4382 0.8021
O11 0.4311 0.7482 0.0304
O12 0.4311 0.7518 0.5304
O13 0.4689 0.2495 0.1953
O14 0.4689 0.2505 0.6953
O15 0.5311 0.7495 0.3047
O16 0.5311 0.7505 0.8047
O17 0.5689 0.2482 0.4696
O18 0.5689 0.2518 0.9696
O19 0.6747 0.5618 0.1979
O20 0.6747 0.9382 0.6979
O21 0.6766 0.5611 0.7097
O22 0.6766 0.9389 0.2097
O23 0.8420 0.2402 0.4026
O24 0.8420 0.2598 0.9026
O25 0.8709 0.2324 0.7083
O26 0.8709 0.2676 0.2083
O27 0.9249 0.7384 0.0649
O28 0.9249 0.7616 0.5649


# Na5Fe2P2C2O14
Simulated X-ray diffraction stick pattern, a wavelength of 1.5418 Å. Input: a structure optimized by DFT (GGA+U).

Main lines, in order of rising 2θ (2θ from 10° to 90°):
2θ/deg	I/Imax
19.5	43
19.6	38
25.9	28
26.9	100
33.3	53
33.4	25
34.0	60
34.3	24
41.9	25
55.3	27

Cell lengths 8.4636, 8.4904, 10.4052 Å; angles 108.71, 107.52, 103.15 degrees
Atoms (fractional coordinates):
Na1 0.0089 0.4835 0.2281
Na2 0.0408 0.8001 0.5851
Na3 0.2539 0.2524 0.7643
Na4 0.4613 0.6912 0.4214
Na5 0.4850 0.9915 0.2414
Na6 0.5150 0.0085 0.7586
Na7 0.5387 0.3088 0.5786
Na8 0.7461 0.7476 0.2357
Na9 0.9592 0.1999 0.4149
Na10 0.9911 0.5165 0.7719
Fe1 0.0654 0.8239 0.1534
Fe2 0.4497 0.6941 0.8523
Fe3 0.5503 0.3059 0.1477
Fe4 0.9346 0.1761 0.8466
P1 0.1956 0.9399 0.9192
P2 0.3143 0.5651 0.0791
P3 0.6857 0.4349 0.9209
P4 0.8044 0.0601 0.0808
C1 0.2312 0.9780 0.4445
C2 0.2677 0.5285 0.5715
C3 0.7323 0.4715 0.4285
C4 0.7688 0.0220 0.5555
O1 0.0720 0.8142 0.9555
O2 0.0841 0.8382 0.3786
O3 0.0961 0.0214 0.8230
O4 0.1662 0.4191 0.9335
O5 0.1770 0.4538 0.4326
O6 0.2213 0.4732 0.6641
O7 0.2437 0.6715 0.1853
O8 0.2771 0.8297 0.8228
O9 0.2956 0.0349 0.3630
O10 0.3084 0.0579 0.5879
O11 0.3463 0.0888 0.0671
O12 0.4165 0.6660 0.6338
O13 0.4377 0.4922 0.1701
O14 0.4376 0.6991 0.0426
O15 0.5624 0.3009 0.9574
O16 0.5623 0.5078 0.8299
O17 0.5835 0.3340 0.3662
O18 0.6537 0.9112 0.9329
O19 0.6916 0.9421 0.4121
O20 0.7044 0.9651 0.6370
O21 0.7229 0.1703 0.1772
O22 0.7563 0.3285 0.8147
O23 0.7787 0.5268 0.3359
O24 0.8230 0.5462 0.5674
O25 0.8338 0.5809 0.0665
O26 0.9039 0.9786 0.1770
O27 0.9159 0.1618 0.6214
O28 0.9280 0.1858 0.0445


# Na2FePCO7
Simulated X-ray diffraction stick pattern, a wavelength of 1.5418 Å. Input: a structure optimized by DFT (GGA+U).

Main lines, in order of rising 2θ (2θ from 10° to 90°):
2θ/deg	I/Imax
16.6	22
16.9	18
19.4	57
19.6	55
25.9	28
27.3	100
33.7	25
34.0	57
34.3	32
56.3	22

Cell lengths 8.4047, 8.4057, 8.9489 Å; angles 89.71, 88.64, 77.87 degrees
Atoms (fractional coordinates):
Na1 0.0000 0.0000 0.0000
Na2 0.0019 0.5101 0.4755
Na3 0.1354 0.6232 0.8163
Na4 0.1483 0.1264 0.6512
Na5 0.5019 0.4997 0.9974
Na6 0.6026 0.6690 0.6422
Na7 0.6160 0.1059 0.8150
Na8 0.7504 0.2573 0.4765
Fe1 0.3655 0.3961 0.3880
Fe2 0.4036 0.8706 0.0856
Fe3 0.8658 0.8966 0.3883
Fe4 0.9030 0.3725 0.0741
P1 0.1165 0.6497 0.1590
P2 0.1439 0.1173 0.3071
P3 0.6173 0.1504 0.1586
P4 0.6520 0.6091 0.3105
C1 0.3692 0.8864 0.8064
C2 0.3901 0.3707 0.6685
C3 0.8660 0.3909 0.7940
C4 0.8958 0.8749 0.6688
O1 0.0178 0.0571 0.4119
O2 0.0440 0.5343 0.0581
O3 0.0596 0.1956 0.1644
O4 0.1913 0.5630 0.3012
O5 0.2055 0.2443 0.4040
O6 0.2457 0.7083 0.0586
O7 0.2685 0.4721 0.6071
O8 0.2722 0.9847 0.8997
O9 0.2833 0.9759 0.2583
O10 0.3587 0.8963 0.6661
O11 0.4135 0.3665 0.8081
O12 0.4804 0.2982 0.2065
O13 0.4833 0.7777 0.8718
O14 0.4857 0.2735 0.5741
O15 0.5343 0.5381 0.4156
O16 0.5494 0.0284 0.0634
O17 0.5676 0.6873 0.1698
O18 0.7002 0.0711 0.3007
O19 0.7245 0.7282 0.4069
O20 0.7398 0.2148 0.0529
O21 0.7720 0.4860 0.8899
O22 0.7839 0.9879 0.6074
O23 0.7956 0.4643 0.2648
O24 0.8483 0.4078 0.6528
O25 0.9187 0.8670 0.8084
O26 0.9813 0.2800 0.8521
O27 0.9814 0.7990 0.2064
O28 0.9818 0.7702 0.5744